Simulated X-ray powder pattern of P2Pb4SO12 for Cu Kα X-rays, from a cell relaxed with GGA-PBE.

Top 12 peaks for 2θ = 10–90°, sorted by position:
20.35 deg, I = 55; 23.54 deg, I = 12; 26.37 deg, I = 100; 31.31 deg, I = 70; 41.38 deg, I = 40; 43.16 deg, I = 56; 52.80 deg, I = 29; 54.28 deg, I = 15; 55.73 deg, I = 18; 58.57 deg, I = 13; 76.70 deg, I = 17; 83.96 deg, I = 13

abc: 9.2566 9.2566 9.2566
angles: 109.48 109.48 109.46
Fractional positions:
P  0.3750  0.2487  0.3737
P  0.7513  0.1250  0.1263
P  0.8750  0.0013  0.6263
P  0.9987  0.6250  0.8737
Pb  0.1111  0.3621  0.0909
Pb  0.1121  0.3611  0.5909
Pb  0.2712  0.0203  0.9091
Pb  0.4788  0.8879  0.2490
Pb  0.6379  0.7288  0.7490
Pb  0.6389  0.2297  0.7510
Pb  0.7703  0.5212  0.4091
Pb  0.9797  0.8889  0.2510
S  0.2500  0.7500  0.5000
S  0.5000  0.5000  0.0000
O  0.0311  0.1279  0.8205
O  0.0715  0.7291  0.4592
O  0.1926  0.7821  0.0009
O  0.2179  0.2187  0.4105
O  0.2699  0.6123  0.5408
O  0.2709  0.7301  0.3424
O  0.3075  0.2106  0.1795
O  0.3623  0.5199  0.0408
O  0.3877  0.9285  0.6576
O  0.4425  0.1221  0.4032
O  0.4791  0.3215  0.9592
O  0.4801  0.5209  0.8424
O  0.5321  0.4426  0.5009
O  0.5574  0.0583  0.0895
O  0.6785  0.6377  0.1576
O  0.7189  0.0394  0.5968
O  0.7813  0.1917  0.9991
O  0.7894  0.9689  0.0968
O  0.8083  0.8074  0.5895
O  0.8721  0.6925  0.9032
O  0.8779  0.2811  0.3205
O  0.9417  0.0313  0.4991
O  0.9606  0.5575  0.6795
O  0.9687  0.4679  0.9105

Simulated X-ray powder pattern of Sc3MnGa3 for Cu Kα X-rays, from a cell relaxed with GGA-PBE.

Top 12 peaks for 2θ = 10–90°, sorted by position:
17.18 deg, I = 21; 23.43 deg, I = 33; 33.94 deg, I = 78; 34.75 deg, I = 100; 39.33 deg, I = 53; 41.54 deg, I = 93; 42.33 deg, I = 23; 43.45 deg, I = 25; 43.93 deg, I = 56; 63.50 deg, I = 15; 67.30 deg, I = 19; 83.71 deg, I = 17

abc: 5.5684 5.5684 13.2447
angles: 107.94 107.94 43.45
Fractional positions:
Sc  0.0237  0.0237  0.3803
Sc  0.1040  0.1040  0.9219
Sc  0.2359  0.2359  0.2288
Sc  0.7641  0.7641  0.7712
Sc  0.8960  0.8960  0.0781
Sc  0.9763  0.9763  0.6197
Mn  0.2608  0.2608  0.6005
Mn  0.7392  0.7392  0.3995
Ga  0.3681  0.3681  0.4535
Ga  0.3847  0.3847  0.9247
Ga  0.4758  0.4758  0.7669
Ga  0.5242  0.5242  0.2331
Ga  0.6153  0.6153  0.0753
Ga  0.6319  0.6319  0.5465

Simulated X-ray powder pattern of CsCd13 for Cu Kα X-rays, from a cell relaxed with GGA-PBE.

Top 12 peaks for 2θ = 10–90°, sorted by position:
12.54 deg, I = 15; 28.26 deg, I = 23; 31.03 deg, I = 63; 37.69 deg, I = 100; 38.24 deg, I = 38; 40.40 deg, I = 11; 59.65 deg, I = 19; 62.77 deg, I = 10; 64.67 deg, I = 12; 71.67 deg, I = 15; 77.34 deg, I = 10; 79.09 deg, I = 11

abc: 9.9851 9.9851 9.9851
angles: 60.00 60.00 60.00
Fractional positions:
Cs  0.2500  0.2500  0.2500
Cs  0.7500  0.7500  0.7500
Cd  0.0000  0.0000  0.0000
Cd  0.0583  0.3011  0.6989
Cd  0.0583  0.6989  0.9417
Cd  0.0583  0.9417  0.3011
Cd  0.1989  0.4417  0.8011
Cd  0.1989  0.5583  0.4417
Cd  0.1989  0.8011  0.5583
Cd  0.3011  0.0583  0.9417
Cd  0.3011  0.6989  0.0583
Cd  0.3011  0.9417  0.6989
Cd  0.4417  0.1989  0.5583
Cd  0.4417  0.5583  0.8011
Cd  0.4417  0.8011  0.1989
Cd  0.5000  0.5000  0.5000
Cd  0.5583  0.1989  0.8011
Cd  0.5583  0.4417  0.1989
Cd  0.5583  0.8011  0.4417
Cd  0.6989  0.0583  0.3011
Cd  0.6989  0.3011  0.9417
Cd  0.6989  0.9417  0.0583
Cd  0.8011  0.1989  0.4417
Cd  0.8011  0.4417  0.5583
Cd  0.8011  0.5583  0.1989
Cd  0.9417  0.0583  0.6989
Cd  0.9417  0.3011  0.0583
Cd  0.9417  0.6989  0.3011

Simulated X-ray powder pattern of LaTbNdSc for Cu Kα X-rays, from a cell relaxed with GGA-PBE.

Top 12 peaks for 2θ = 10–90°, sorted by position:
15.10 deg, I = 8; 24.48 deg, I = 7; 27.54 deg, I = 14; 30.47 deg, I = 25; 30.97 deg, I = 28; 31.95 deg, I = 100; 44.00 deg, I = 18; 47.56 deg, I = 8; 55.02 deg, I = 7; 55.16 deg, I = 8; 55.72 deg, I = 22; 57.84 deg, I = 9

abc: 6.8073 6.8073 3.8237
angles: 106.15 106.15 50.19
Fractional positions:
La  0.0000  0.0000  0.0000
Tb  0.2674  0.2674  0.7372
Nd  0.7271  0.7271  0.1934
Sc  0.4949  0.4949  0.4749

Simulated X-ray powder pattern of Pr2PSe for Cu Kα X-rays, from a cell relaxed with GGA-PBE.

Top 12 peaks for 2θ = 10–90°, sorted by position:
24.32 deg, I = 13; 25.12 deg, I = 49; 26.10 deg, I = 22; 29.72 deg, I = 43; 32.19 deg, I = 100; 38.08 deg, I = 33; 43.65 deg, I = 53; 48.59 deg, I = 16; 50.59 deg, I = 12; 55.26 deg, I = 21; 68.36 deg, I = 20; 72.93 deg, I = 18

abc: 7.7023 7.7023 7.7023
angles: 31.24 31.24 31.24
Fractional positions:
Pr  0.0000  0.0000  0.0000
Pr  0.1835  0.1835  0.1835
P  0.5928  0.5928  0.5928
Se  0.4240  0.4240  0.4240

Simulated X-ray powder pattern of Er3Au5 for Cu Kα X-rays, from a cell relaxed with GGA-PBE.

Top 12 peaks for 2θ = 10–90°, sorted by position:
24.16 deg, I = 12; 34.27 deg, I = 100; 36.94 deg, I = 60; 37.09 deg, I = 35; 42.10 deg, I = 25; 44.63 deg, I = 31; 49.48 deg, I = 17; 57.34 deg, I = 9; 63.32 deg, I = 26; 66.94 deg, I = 13; 68.43 deg, I = 15; 71.92 deg, I = 23

abc: 7.4347 7.4347 3.6840
angles: 90.00 90.00 120.00
Fractional positions:
Er  0.0000  0.6184  0.0000
Er  0.3816  0.3816  0.0000
Er  0.6184  0.0000  0.0000
Au  0.0000  0.2319  0.5000
Au  0.2319  0.0000  0.5000
Au  0.3333  0.6667  0.5000
Au  0.6667  0.3333  0.5000
Au  0.7681  0.7681  0.5000

Simulated X-ray powder pattern of Ac3H3Ir for Cu Kα X-rays, from a cell relaxed with GGA-PBE.

Top 12 peaks for 2θ = 10–90°, sorted by position:
14.50 deg, I = 11; 25.27 deg, I = 13; 27.31 deg, I = 100; 35.24 deg, I = 42; 42.49 deg, I = 30; 45.81 deg, I = 24; 50.08 deg, I = 11; 51.25 deg, I = 18; 56.35 deg, I = 10; 68.69 deg, I = 13; 69.24 deg, I = 15; 80.10 deg, I = 10

abc: 8.2325 8.2325 8.2325
angles: 53.19 53.19 53.19
Fractional positions:
Ac  0.0870  0.4395  0.7310
Ac  0.2690  0.9130  0.5605
Ac  0.4395  0.7310  0.0870
Ac  0.5605  0.2690  0.9130
Ac  0.7310  0.0870  0.4395
Ac  0.9130  0.5605  0.2690
H  0.1267  0.8105  0.4415
H  0.1895  0.5585  0.8733
H  0.4415  0.1267  0.8105
H  0.5585  0.8733  0.1895
H  0.8105  0.4415  0.1267
H  0.8733  0.1895  0.5585
Ir  0.3326  0.3326  0.3326
Ir  0.6674  0.6674  0.6674